Calculated X-ray powder pattern of Cu8NiAu6 for CuKα, from the GGA-PBE geometry in Alexandria.
Intensities are scaled so that the largest is 100.

Most intense lines, 2θ from 5° to 70°, low angle first:
2θ (°)	I (rel.)	(hkl)
30.83	34	1 1 3
37.44	18	0 2 4
40.64	100	2 1 1
41.05	27	2 0 5
41.46	20	1 0 7
41.79	38	3 -2 2
42.33	54	2 -1 6
49.26	18	1 2 5

Structure:
```
data_Cu8NiAu6
_symmetry_space_group_name_H-M 'R -3'
_symmetry_Int_Tables_number 148
_symmetry_space_group_name_Hall '-R 3'
_cell_length_a 6.8454
_cell_length_b 6.8454
_cell_length_c 16.3928
_cell_angle_alpha 90.00
_cell_angle_beta 90.00
_cell_angle_gamma 120.00
loop_
_atom_site_label
_atom_site_type_symbol
_atom_site_fract_x
_atom_site_fract_y
_atom_site_fract_z
Cu1 Cu 0.0000 0.0000 0.1488
Cu2 Cu 0.0388 0.2439 0.5586
Ni1 Ni 0.0000 0.0000 0.0000
Au1 Au 0.0517 0.2672 0.7240
```